Starting from a crystal structure in Alexandria, relaxed with PBE, the powder X-ray diffraction pattern of SrAlO3 was calculated for λ = 1.5418 Å (Cu Kα).
Neutral-atom scattering factors, no anomalous dispersion.

Main lines, sorted by position (2θ = 15–90°):
- 2θ = 21.47°, d = 4.139 Å, I = 75
- 2θ = 28.10°, d = 3.176 Å, I = 100
- 2θ = 29.01°, d = 3.078 Å, I = 29
- 2θ = 34.30°, d = 2.614 Å, I = 67
- 2θ = 34.79°, d = 2.579 Å, I = 75
- 2θ = 38.09°, d = 2.362 Å, I = 44
- 2θ = 39.40°, d = 2.287 Å, I = 54
- 2θ = 41.82°, d = 2.160 Å, I = 39
- 2θ = 48.59°, d = 1.874 Å, I = 22
- 2θ = 54.56°, d = 1.682 Å, I = 20
- 2θ = 54.68°, d = 1.679 Å, I = 20
- 2θ = 55.76°, d = 1.649 Å, I = 21

```
10
Lattice="4.7246 0.0000 0.0000 0.0000 3.2970 0.0000 -0.0289 0.0000 8.5790" Properties=species:S:1:pos:R:3 pbc="T T T"
Sr 0.0000 0.0000 0.0000
Sr 2.3436 0.0000 3.0590
Al 2.1377 1.6485 6.6553
Al 4.4840 1.6485 4.9756
O 0.0924 0.0000 4.1993
O 0.3368 1.6485 6.6565
O 1.6148 1.6485 1.3039
O 2.4925 0.0000 7.3381
O 2.6967 1.6485 4.9615
O 3.1347 1.6485 1.3519
```


Starting from a crystal structure in Alexandria, relaxed with PBE, the powder X-ray diffraction pattern of LiDyZn5Cu2 was calculated for λ = 1.5418 Å (Cu Kα).
Neutral-atom scattering factors, no anomalous dispersion.

Main lines, sorted by position (2θ = 15–90°):
- 2θ = 22.84°, d = 3.893 Å, I = 40
- 2θ = 30.08°, d = 2.971 Å, I = 25
- 2θ = 31.25°, d = 2.862 Å, I = 17
- 2θ = 36.86°, d = 2.438 Å, I = 22
- 2θ = 36.99°, d = 2.430 Å, I = 100
- 2θ = 39.18°, d = 2.299 Å, I = 88
- 2θ = 46.55°, d = 1.951 Å, I = 21
- 2θ = 54.88°, d = 1.673 Å, I = 27
- 2θ = 56.61°, d = 1.626 Å, I = 29
- 2θ = 65.18°, d = 1.431 Å, I = 15
- 2θ = 69.55°, d = 1.352 Å, I = 43
- 2θ = 84.96°, d = 1.142 Å, I = 15

```
9
Lattice="4.5983 0.0000 0.0000 0.0000 4.5983 0.0000 0.0000 0.0000 7.3153" Properties=species:S:1:pos:R:3 pbc="T T T"
Li 0.0000 0.0000 0.0000
Dy 0.0000 0.0000 3.6576
Zn 0.0000 2.2991 1.7355
Zn 0.0000 2.2991 5.5797
Zn 2.2991 0.0000 1.7355
Zn 2.2991 0.0000 5.5797
Zn 2.2991 2.2991 3.6576
Cu 2.2991 2.2991 1.1681
Cu 2.2991 2.2991 6.1472
```


Starting from a crystal structure in Alexandria, relaxed with PBE, the powder X-ray diffraction pattern of Li2TcCI was calculated for λ = 1.5418 Å (Cu Kα).
Neutral-atom scattering factors, no anomalous dispersion.

Main lines, sorted by position (2θ = 15–90°):
- 2θ = 23.27°, d = 3.823 Å, I = 96
- 2θ = 28.62°, d = 3.119 Å, I = 100
- 2θ = 33.14°, d = 2.703 Å, I = 48
- 2θ = 44.34°, d = 2.043 Å, I = 60
- 2θ = 47.59°, d = 1.911 Å, I = 24
- 2θ = 53.63°, d = 1.709 Å, I = 37
- 2θ = 56.46°, d = 1.630 Å, I = 15
- 2θ = 59.25°, d = 1.560 Å, I = 17
- 2θ = 67.05°, d = 1.396 Å, I = 18
- 2θ = 69.58°, d = 1.351 Å, I = 15
- 2θ = 74.48°, d = 1.274 Å, I = 17
- 2θ = 76.89°, d = 1.240 Å, I = 18

```
5
Lattice="5.4071 0.0000 0.0000 0.0000 5.4071 0.0000 0.0000 0.0000 3.8185" Properties=species:S:1:pos:R:3 pbc="T T T"
Li 0.0000 2.7035 0.0000
Li 2.7035 0.0000 0.0000
Tc 0.0000 0.0000 0.0000
C 0.0000 0.0000 1.9093
I 2.7035 2.7035 1.9093
```


Starting from a crystal structure in Alexandria, relaxed with PBE, the powder X-ray diffraction pattern of SmHoSc was calculated for λ = 1.5418 Å (Cu Kα).
Neutral-atom scattering factors, no anomalous dispersion.

Main lines, sorted by position (2θ = 15–90°):
- 2θ = 24.44°, d = 3.643 Å, I = 8
- 2θ = 26.23°, d = 3.398 Å, I = 18
- 2θ = 31.54°, d = 2.836 Å, I = 100
- 2θ = 36.37°, d = 2.471 Å, I = 34
- 2θ = 37.02°, d = 2.428 Å, I = 16
- 2θ = 44.30°, d = 2.045 Å, I = 7
- 2θ = 52.37°, d = 1.747 Å, I = 12
- 2θ = 52.87°, d = 1.732 Å, I = 22
- 2θ = 62.44°, d = 1.487 Å, I = 28
- 2θ = 63.31°, d = 1.469 Å, I = 12
- 2θ = 65.86°, d = 1.418 Å, I = 12
- 2θ = 86.58°, d = 1.124 Å, I = 11

```
6
Lattice="3.4938 0.0000 0.0000 0.0000 3.4938 0.0000 0.0000 0.0000 14.5701" Properties=species:S:1:pos:R:3 pbc="T T T"
Sm 0.0000 0.0000 0.0000
Sm 1.7469 1.7469 7.2850
Ho 0.0000 0.0000 4.7017
Ho 1.7469 1.7469 11.9867
Sc 0.0000 0.0000 9.6615
Sc 1.7469 1.7469 2.3765
```


Starting from a crystal structure in Alexandria, relaxed with PBE, the powder X-ray diffraction pattern of Bi2Pd7Pb2Au was calculated for λ = 1.5418 Å (Cu Kα).
Neutral-atom scattering factors, no anomalous dispersion.

Main lines, sorted by position (2θ = 15–90°):
- 2θ = 25.79°, d = 3.455 Å, I = 56
- 2θ = 27.04°, d = 3.297 Å, I = 38
- 2θ = 31.69°, d = 2.823 Å, I = 39
- 2θ = 34.38°, d = 2.609 Å, I = 29
- 2θ = 36.16°, d = 2.484 Å, I = 35
- 2θ = 37.79°, d = 2.381 Å, I = 38
- 2θ = 39.33°, d = 2.291 Å, I = 32
- 2θ = 40.60°, d = 2.222 Å, I = 28
- 2θ = 41.34°, d = 2.184 Å, I = 40
- 2θ = 43.12°, d = 2.098 Å, I = 45
- 2θ = 45.34°, d = 2.000 Å, I = 100
- 2θ = 63.98°, d = 1.455 Å, I = 26

```
12
Lattice="2.8440 -2.8232 0.0000 2.8440 2.8232 0.0000 -1.6952 0.0000 15.6752" Properties=species:S:1:pos:R:3 pbc="T T T"
Bi 0.0925 0.0000 6.2275
Bi 3.9003 0.0000 9.4477
Pd 1.4293 1.4108 2.0327
Pd 0.9803 0.0000 8.8520
Pd 2.5635 1.4108 13.6425
Pd 2.8440 0.0000 0.0000
Pd 1.4293 -1.4108 2.0327
Pd 3.0125 0.0000 6.8232
Pd 2.5635 -1.4108 13.6425
Pb 1.1330 0.0000 11.7274
Pb 2.8598 0.0000 3.9478
Au 0.0000 0.0000 0.0000
```


Starting from a crystal structure in Alexandria, relaxed with PBE, the powder X-ray diffraction pattern of Tb2YTmSc4 was calculated for λ = 1.5418 Å (Cu Kα).
Neutral-atom scattering factors, no anomalous dispersion.

Main lines, sorted by position (2θ = 15–90°):
- 2θ = 19.02°, d = 4.666 Å, I = 24
- 2θ = 25.79°, d = 3.454 Å, I = 24
- 2θ = 32.24°, d = 2.776 Å, I = 100
- 2θ = 36.80°, d = 2.443 Å, I = 35
- 2θ = 38.59°, d = 2.333 Å, I = 15
- 2θ = 41.74°, d = 2.164 Å, I = 14
- 2θ = 53.02°, d = 1.727 Å, I = 12
- 2θ = 54.38°, d = 1.687 Å, I = 22
- 2θ = 63.43°, d = 1.467 Å, I = 27
- 2θ = 65.85°, d = 1.418 Å, I = 12
- 2θ = 67.47°, d = 1.388 Å, I = 11
- 2θ = 89.39°, d = 1.096 Å, I = 11

```
8
Lattice="4.8851 0.0000 0.0000 0.0000 4.8851 0.0000 0.0000 0.0000 9.3324" Properties=species:S:1:pos:R:3 pbc="T T T"
Tb 0.0000 0.0000 0.0000
Tb 2.4425 2.4425 4.6662
Y 0.0000 0.0000 4.6662
Tm 2.4425 2.4425 0.0000
Sc 0.0000 2.4425 2.3153
Sc 0.0000 2.4425 7.0171
Sc 2.4425 0.0000 2.3153
Sc 2.4425 0.0000 7.0171
```